[1]
The following is a theoretical powder diffraction line list of TbY2Th3S6. It was derived from a DFT-relaxed cell (PBE, Alexandria), using Cu Kα, 1.54184 Å.
Peak positions follow from Bragg's law for the DFT cell and can differ from measured ones.

Largest 10 diffraction maxima, sorted by position, 10 to 80 degrees two-theta:
Position (°2θ), intensity
13.13, 16
26.44, 24
27.64, 21
27.85, 41
31.80, 100
44.56, 13
44.82, 25
46.35, 23
54.42, 15
74.43, 14

```
TbY2Th3S6
1.0
3.3993 -5.8451 0.0000
3.3993 5.8451 0.0000
-2.2325 0.0000 6.7410
Tb Y Th S
1 2 3 6
Direct
0.0000 0.0000 0.0000
0.3334 0.6666 0.0000
0.6666 0.3334 0.0000
0.1664 0.8336 0.5000
0.5000 0.5000 0.5000
0.8336 0.1664 0.5000
0.0782 0.4122 0.2349
0.2556 0.2556 0.7653
0.4122 0.0782 0.2349
0.5878 0.9218 0.7651
0.7444 0.7444 0.2347
0.9218 0.5878 0.7651
```

=====

[2]
The following is a theoretical powder diffraction line list of LiCa2AcTl2. It was derived from a DFT-relaxed cell (PBE, Alexandria), using Cu Kα, 1.54184 Å.
Peak positions follow from Bragg's law for the DFT cell and can differ from measured ones.

Largest 10 diffraction maxima, sorted by position, 10 to 80 degrees two-theta:
Position (°2θ), intensity
23.54, 100
25.64, 39
27.57, 15
31.08, 25
36.57, 27
40.03, 21
43.95, 40
48.72, 26
55.83, 14
72.71, 11

```
LiCa2AcTl2
1.0
-2.4569 2.4569 8.8741
2.4569 -2.4569 8.8741
2.4569 2.4569 -8.8741
Li Ca Ac Tl
1 2 1 2
Direct
0.0000 0.0000 0.0000
0.2500 0.7500 0.5000
0.7500 0.2500 0.5000
0.5000 0.5000 0.0000
0.1359 0.1359 0.0000
0.8641 0.8641 0.0000
```

=====

[3]
The following is a theoretical powder diffraction line list of Dy2FeB10. It was derived from a DFT-relaxed cell (PBE, Alexandria), using Cu Kα, 1.54184 Å.
Peak positions follow from Bragg's law for the DFT cell and can differ from measured ones.

Largest 10 diffraction maxima, sorted by position, 10 to 80 degrees two-theta:
Position (°2θ), intensity
21.43, 28
22.62, 73
31.36, 100
32.13, 14
32.27, 18
38.95, 36
39.07, 43
43.67, 16
46.18, 23
49.73, 33

```
Dy2FeB10
1.0
5.5716 0.0000 0.0000
0.0000 11.0970 0.0000
0.0000 0.0000 4.1456
Dy Fe B
4 2 20
Direct
0.2152 0.1292 0.0000
0.2848 0.6292 0.0000
0.7152 0.3708 0.0000
0.7848 0.8708 0.0000
0.0000 0.5000 0.5000
0.5000 0.0000 0.5000
0.0324 0.3142 0.5000
0.1283 0.9608 0.5000
0.1551 0.8018 0.5000
0.2042 0.3866 0.2009
0.2042 0.3866 0.7991
0.2958 0.8866 0.2009
0.2958 0.8866 0.7991
0.3449 0.3018 0.5000
0.3717 0.4608 0.5000
0.4676 0.8142 0.5000
0.5324 0.1858 0.5000
0.6283 0.5392 0.5000
0.6551 0.6982 0.5000
0.7042 0.1134 0.2009
0.7042 0.1134 0.7991
0.7958 0.6134 0.2009
0.7958 0.6134 0.7991
0.8449 0.1982 0.5000
0.8717 0.0392 0.5000
0.9676 0.6858 0.5000
```

=====

[4]
The following is a theoretical powder diffraction line list of Tb4InPdRu2. It was derived from a DFT-relaxed cell (PBE, Alexandria), using Cu Kα, 1.54184 Å.
Peak positions follow from Bragg's law for the DFT cell and can differ from measured ones.

Largest 10 diffraction maxima, sorted by position, 10 to 80 degrees two-theta:
Position (°2θ), intensity
25.22, 4
32.93, 1
35.97, 100
44.44, 1
49.57, 1
51.78, 17
58.44, 2
64.66, 34
68.69, 1
76.27, 10

```
Tb4InPdRu2
1.0
2.4958 1.4410 8.1631
-2.4958 1.4410 8.1631
0.0000 -2.8819 8.1631
Tb In Pd Ru
4 1 1 2
Direct
0.1197 0.1197 0.1197
0.3709 0.3709 0.3709
0.6291 0.6291 0.6291
0.8803 0.8803 0.8803
0.5000 0.5000 0.5000
0.0000 0.0000 0.0000
0.2483 0.2483 0.2483
0.7517 0.7517 0.7517
```

=====

[5]
The following is a theoretical powder diffraction line list of BaNaMnH6. It was derived from a DFT-relaxed cell (PBE, Alexandria), using Cu Kα, 1.54184 Å.
Peak positions follow from Bragg's law for the DFT cell and can differ from measured ones.

Largest 10 diffraction maxima, sorted by position, 10 to 80 degrees two-theta:
Position (°2θ), intensity
19.97, 29
27.17, 100
34.96, 37
36.95, 10
42.35, 9
44.83, 25
51.77, 24
58.08, 23
60.79, 10
75.06, 8

```
BaNaMnH6
1.0
5.1332 0.0000 0.0000
-2.5666 4.4455 0.0000
0.0000 0.0000 4.8660
Ba Na Mn H
1 1 1 6
Direct
0.0000 0.0000 0.0000
0.3333 0.6667 0.5000
0.6667 0.3333 0.5000
0.5360 0.0721 0.2645
0.5360 0.0721 0.7355
0.5360 0.4640 0.2645
0.5360 0.4640 0.7355
0.9279 0.4640 0.2645
0.9279 0.4640 0.7355
```

=====

[6]
The following is a theoretical powder diffraction line list of ThSi2NiPt5. It was derived from a DFT-relaxed cell (PBE, Alexandria), using Cu Kα, 1.54184 Å.
Peak positions follow from Bragg's law for the DFT cell and can differ from measured ones.

Largest 10 diffraction maxima, sorted by position, 10 to 80 degrees two-theta:
Position (°2θ), intensity
26.49, 71
32.13, 100
35.73, 52
44.19, 55
47.79, 68
52.27, 46
64.28, 18
70.80, 19
72.72, 17
73.69, 19

```
ThSi2NiPt5
1.0
4.0986 0.0000 0.0000
0.0000 4.0986 0.0000
0.0000 0.0000 10.0939
Th Si Ni Pt
1 2 1 5
Direct
0.0000 0.0000 0.0000
0.5000 0.5000 0.2334
0.5000 0.5000 0.7666
0.0000 0.0000 0.5000
0.0000 0.5000 0.3493
0.0000 0.5000 0.6507
0.5000 0.0000 0.3493
0.5000 0.0000 0.6507
0.5000 0.5000 0.0000
```